No. 1
The following is a theoretical XRD peak list of La4Pm2ErSc. It was derived from a cell relaxed with PBE, using CuKα.

Most intense lines, 5 to 70 degrees two-theta, sorted by position:
- d 10.087, 2θ 8.8, I = 4
- d 2.962, 2θ 30.2, I = 100
- d 2.604, 2θ 34.4, I = 18
- d 2.572, 2θ 34.9, I = 17
- d 2.522, 2θ 35.6, I = 16
- d 1.830, 2θ 49.8, I = 12
- d 1.812, 2θ 50.4, I = 12
- d 1.801, 2θ 50.7, I = 12
- d 1.564, 2θ 59.1, I = 15
- d 1.550, 2θ 59.7, I = 14
- d 1.528, 2θ 60.6, I = 14
- d 1.481, 2θ 62.7, I = 12

```
8
Lattice="5.1442 0.0000 0.0000 0.0000 5.2080 0.0000 -0.0018 0.0000 10.0869" Properties=species:S:1:pos:R:3 pbc="T T T"
La 0.0027 0.0000 2.5560
La 2.5635 2.6040 7.5262
La 2.5789 2.6040 2.5607
La 5.1397 0.0000 7.5310
Pm 0.0000 2.6040 0.0000
Pm 2.5712 0.0000 5.0435
Er 2.5721 0.0000 0.0000
Sc -0.0009 2.6040 5.0435
```

***

No. 2
The following is a theoretical XRD peak list of La2PmSm4Er. It was derived from a cell relaxed with PBE, using CuKα.

Most intense lines, 5 to 70 degrees two-theta, sorted by position:
- d 2.980, 2θ 30.0, I = 100
- d 2.583, 2θ 34.7, I = 34
- d 2.575, 2θ 34.8, I = 17
- d 1.826, 2θ 49.9, I = 18
- d 1.823, 2θ 50.0, I = 18
- d 1.557, 2θ 59.3, I = 29
- d 1.554, 2θ 59.5, I = 14
- d 1.490, 2θ 62.3, I = 12

```
8
Lattice="5.1494 0.0000 0.0000 0.0000 5.1633 0.0000 -0.0145 0.0000 10.3387" Properties=species:S:1:pos:R:3 pbc="T T T"
La 0.0000 0.0000 0.0000
La 2.5674 2.5817 5.1693
Pm -0.0073 0.0000 5.1693
Sm -0.0076 2.5817 7.7769
Sm 2.5702 0.0000 2.5690
Sm 2.5647 0.0000 7.7696
Sm 5.1424 2.5817 2.5618
Er 2.5747 2.5817 0.0000
```

***

No. 3
The following is a theoretical XRD peak list of LaPmSm2Er5. It was derived from a cell relaxed with PBE, using CuKα.

Most intense lines, 5 to 70 degrees two-theta, sorted by position:
- d 3.112, 2θ 28.7, I = 50
- d 3.090, 2θ 28.9, I = 49
- d 2.893, 2θ 30.9, I = 100
- d 2.763, 2θ 32.4, I = 14
- d 2.602, 2θ 34.5, I = 12
- d 2.423, 2θ 37.1, I = 14
- d 2.394, 2θ 37.6, I = 17
- d 2.101, 2θ 43.1, I = 21
- d 1.960, 2θ 46.3, I = 11
- d 1.930, 2θ 47.1, I = 13
- d 1.743, 2θ 52.5, I = 20
- d 1.637, 2θ 56.2, I = 14

```
18
Lattice="-4.3693 4.3693 7.7196 4.3693 -4.3693 7.7196 4.3693 4.3693 -7.7196" Properties=species:S:1:pos:R:3 pbc="T T T"
La 0.0000 0.0000 3.8598
La 0.0000 0.0000 11.5794
Pm 4.3693 0.0000 3.8598
Pm 0.0000 4.3693 3.8598
Sm 5.3890 1.0197 0.0000
Sm 1.0197 3.3496 0.0000
Sm 3.3496 1.0197 7.7196
Sm -1.0197 3.3496 7.7196
Er 0.0000 0.0000 0.0000
Er 2.5569 1.8124 -2.0779
Er 2.5569 -1.8124 5.6416
Er 2.5569 1.8124 2.0779
Er 2.5569 -1.8124 9.7975
Er 0.0000 0.0000 7.7196
Er 1.8124 6.1817 -2.0779
Er 1.8124 2.5569 5.6416
Er 1.8124 6.1817 2.0779
Er 1.8124 2.5569 9.7975
```

***

No. 4
The following is a theoretical XRD peak list of LaPmSm2Er2. It was derived from a cell relaxed with PBE, using CuKα.

Most intense lines, 5 to 70 degrees two-theta, sorted by position:
- d 3.360, 2θ 26.5, I = 35
- d 3.093, 2θ 28.9, I = 100
- d 3.045, 2θ 29.3, I = 79
- d 2.981, 2θ 30.0, I = 99
- d 2.878, 2θ 31.1, I = 35
- d 2.763, 2θ 32.4, I = 45
- d 2.715, 2θ 33.0, I = 25
- d 2.668, 2θ 33.6, I = 57
- d 2.527, 2θ 35.5, I = 44
- d 2.208, 2θ 40.9, I = 65
- d 1.687, 2θ 54.4, I = 35
- d 1.439, 2θ 64.8, I = 26

```
12
Lattice="6.5736 0.0000 0.0000 0.0000 18.2690 0.0000 0.0000 0.0000 3.4186" Properties=species:S:1:pos:R:3 pbc="T T T"
La 0.0000 0.0000 0.0000
La 3.2868 9.1345 1.7093
Pm 0.0000 9.1345 0.0000
Pm 3.2868 0.0000 1.7093
Sm 1.4196 3.4682 0.0000
Sm 1.8672 12.6027 1.7093
Sm 4.7065 5.6663 1.7093
Sm 5.1540 14.8008 0.0000
Er 1.4084 6.4438 1.7093
Er 1.8784 15.5783 0.0000
Er 4.6952 2.6907 0.0000
Er 5.1652 11.8252 1.7093
```

***

No. 5
The following is a theoretical XRD peak list of La2Pm4Sm2Er. It was derived from a cell relaxed with PBE, using CuKα.

Most intense lines, 5 to 70 degrees two-theta, sorted by position:
- d 3.165, 2θ 28.2, I = 36
- d 3.099, 2θ 28.8, I = 15
- d 2.941, 2θ 30.4, I = 50
- d 2.872, 2θ 31.1, I = 100
- d 2.734, 2θ 32.8, I = 59
- d 2.725, 2θ 32.9, I = 28
- d 1.844, 2θ 49.4, I = 13
- d 1.839, 2θ 49.6, I = 26
- d 1.716, 2θ 53.4, I = 15
- d 1.627, 2θ 56.5, I = 13
- d 1.561, 2θ 59.2, I = 30
- d 1.558, 2θ 59.3, I = 15

```
9
Lattice="9.5460 -1.8441 0.0000 9.5460 1.8441 0.0000 -4.2240 0.0000 8.8240" Properties=species:S:1:pos:R:3 pbc="T T T"
La 1.0395 0.0000 4.4037
La 13.8285 0.0000 4.4202
Pm -3.1518 0.0000 7.3404
Pm 5.3046 0.0000 1.4611
Pm 9.5634 0.0000 7.3628
Pm 18.0198 0.0000 1.4836
Sm 3.2144 0.0000 7.3632
Sm 11.6536 0.0000 1.4608
Er 7.4340 0.0000 4.4120
```

***

No. 6
The following is a theoretical XRD peak list of La4Pm2SmEr. It was derived from a cell relaxed with PBE, using CuKα.

Most intense lines, 5 to 70 degrees two-theta, sorted by position:
- d 3.000, 2θ 29.8, I = 100
- d 2.630, 2θ 34.1, I = 17
- d 2.612, 2θ 34.3, I = 17
- d 2.553, 2θ 35.1, I = 16
- d 1.853, 2θ 49.2, I = 12
- d 1.832, 2θ 49.8, I = 12
- d 1.826, 2θ 49.9, I = 12
- d 1.580, 2θ 58.4, I = 15
- d 1.573, 2θ 58.7, I = 15
- d 1.547, 2θ 59.8, I = 14
- d 1.500, 2θ 61.9, I = 12

```
8
Lattice="5.2241 0.0000 0.0000 0.0000 5.2591 0.0000 -0.0078 0.0000 10.2131" Properties=species:S:1:pos:R:3 pbc="T T T"
La 5.2210 0.0000 2.5311
La -0.0046 0.0000 7.6820
La 2.6113 2.6296 2.5366
La 2.6050 2.6296 7.6766
Pm 0.0000 2.6296 0.0000
Pm 2.6082 0.0000 5.1066
Sm -0.0039 2.6296 5.1066
Er 2.6121 0.0000 0.0000
```

***

No. 7
The following is a theoretical XRD peak list of LaTb2PmEr. It was derived from a cell relaxed with PBE, using CuKα.

Most intense lines, 5 to 70 degrees two-theta, sorted by position:
- d 4.339, 2θ 20.5, I = 14
- d 3.435, 2θ 25.9, I = 28
- d 2.893, 2θ 30.9, I = 14
- d 2.864, 2θ 31.2, I = 100
- d 2.812, 2θ 31.8, I = 40
- d 2.772, 2θ 32.3, I = 18
- d 2.572, 2θ 34.9, I = 25
- d 2.486, 2θ 36.1, I = 19
- d 2.256, 2θ 40.0, I = 16
- d 1.760, 2θ 52.0, I = 15
- d 1.633, 2θ 56.3, I = 19
- d 1.507, 2θ 61.6, I = 20

```
5
Lattice="3.6035 0.0000 0.0000 0.0000 5.6233 0.0000 0.0000 0.0000 8.6782" Properties=species:S:1:pos:R:3 pbc="T T T"
La 0.0000 0.0000 0.0000
Tb 0.0000 2.8117 2.8040
Tb 0.0000 2.8117 5.8741
Pm 1.8017 2.8117 0.0000
Er 1.8017 0.0000 4.3391
```

***

No. 8
The following is a theoretical XRD peak list of LaTbPmEr3. It was derived from a cell relaxed with PBE, using CuKα.

Most intense lines, 5 to 70 degrees two-theta, sorted by position:
- d 3.551, 2θ 25.1, I = 29
- d 3.299, 2θ 27.0, I = 21
- d 2.967, 2θ 30.1, I = 32
- d 2.951, 2θ 30.3, I = 95
- d 2.938, 2θ 30.4, I = 78
- d 2.895, 2θ 30.9, I = 26
- d 2.809, 2θ 31.9, I = 100
- d 2.739, 2θ 32.7, I = 56
- d 2.726, 2θ 32.9, I = 77
- d 2.526, 2θ 35.5, I = 48
- d 1.647, 2θ 55.8, I = 31
- d 1.501, 2θ 61.8, I = 21

```
12
Lattice="9.8965 -2.8089 0.0000 9.8965 2.8089 0.0000 -0.0518 0.0000 7.1029" Properties=species:S:1:pos:R:3 pbc="T T T"
La 2.8808 0.0000 0.2591
La 16.8605 0.0000 6.8438
Tb 2.9471 0.0000 3.2650
Tb 16.7942 0.0000 3.8379
Pm 8.8036 0.0000 5.2097
Pm 10.9377 0.0000 1.8932
Er 0.4372 0.0000 5.2378
Er 5.4773 0.0000 5.3688
Er 6.6273 0.0000 1.8927
Er 13.1140 0.0000 5.2101
Er 14.2640 0.0000 1.7340
Er 19.3041 0.0000 1.8651
```

***

No. 9
The following is a theoretical XRD peak list of La3Tb6PmEr2. It was derived from a cell relaxed with PBE, using CuKα.

Most intense lines, 5 to 70 degrees two-theta, sorted by position:
- d 11.757, 2θ 7.5, I = 2
- d 2.945, 2θ 30.3, I = 34
- d 2.943, 2θ 30.4, I = 100
- d 2.549, 2θ 35.2, I = 68
- d 1.803, 2θ 50.6, I = 48
- d 1.538, 2θ 60.2, I = 43
- d 1.536, 2θ 60.3, I = 14
- d 1.472, 2θ 63.1, I = 12
- d 1.470, 2θ 63.3, I = 4

```
12
Lattice="3.1243 -5.4115 0.0000 3.1243 5.4115 0.0000 -2.0892 0.0000 11.7568" Properties=species:S:1:pos:R:3 pbc="T T T"
La 0.0000 0.0000 0.0000
La 3.1243 1.8045 0.0000
La 3.1243 -1.8045 0.0000
Tb 1.0383 1.8084 3.0021
Tb -0.0110 0.0000 8.7554
Tb 1.0383 -1.8084 3.0021
Tb 3.1211 1.8084 8.7547
Tb 4.1703 0.0000 3.0014
Tb 3.1211 -1.8084 8.7547
Pm 2.0797 0.0000 5.8784
Er 2.0797 3.6058 5.8784
Er 2.0797 -3.6058 5.8784
```

***

No. 10
The following is a theoretical XRD peak list of LaTb2Pm2Er. It was derived from a cell relaxed with PBE, using CuKα.

Most intense lines, 5 to 70 degrees two-theta, sorted by position:
- d 3.528, 2θ 25.2, I = 8
- d 2.874, 2θ 31.1, I = 87
- d 2.861, 2θ 31.3, I = 100
- d 2.222, 2θ 40.6, I = 14
- d 2.027, 2θ 44.7, I = 32
- d 1.764, 2θ 51.8, I = 8
- d 1.654, 2θ 55.6, I = 47
- d 1.651, 2θ 55.7, I = 7
- d 1.501, 2θ 61.8, I = 29
- d 1.496, 2θ 62.0, I = 4
- d 1.430, 2θ 65.2, I = 12

```
12
Lattice="7.0559 0.0000 0.0000 0.0000 5.7238 0.0000 0.0000 0.0000 9.9052" Properties=species:S:1:pos:R:3 pbc="T T T"
La 0.0000 0.0000 0.0000
La 3.5279 0.0000 0.0000
Tb 1.7640 0.0000 3.3229
Tb 1.7640 2.8619 8.2229
Tb 5.2919 0.0000 6.5823
Tb 5.2919 2.8619 1.6823
Pm 0.0000 2.8619 4.9526
Pm 1.7640 0.0000 6.6107
Pm 3.5279 2.8619 4.9526
Pm 5.2919 0.0000 3.2944
Er 1.7640 2.8619 1.6454
Er 5.2919 2.8619 8.2598
```

***

No. 11
The following is a theoretical XRD peak list of La3Pm2ErTe6. It was derived from a cell relaxed with PBE, using CuKα.

Most intense lines, 5 to 70 degrees two-theta, sorted by position:
- d 7.365, 2θ 12.0, I = 1
- d 3.684, 2θ 24.2, I = 1
- d 3.181, 2θ 28.0, I = 100
- d 2.260, 2θ 39.9, I = 13
- d 2.249, 2θ 40.1, I = 50
- d 2.241, 2θ 40.3, I = 13
- d 1.842, 2θ 49.5, I = 13
- d 1.832, 2θ 49.8, I = 14
- d 1.591, 2θ 58.0, I = 13
- d 1.428, 2θ 65.3, I = 6
- d 1.423, 2θ 65.6, I = 23
- d 1.418, 2θ 65.9, I = 6

```
12
Lattice="9.8012 -2.2405 0.0000 9.8012 2.2405 0.0000 -2.0758 0.0000 8.7975" Properties=species:S:1:pos:R:3 pbc="T T T"
La 0.0000 0.0000 0.0000
La 5.0808 0.0000 5.8596
La 12.4458 0.0000 2.9379
Pm 6.1579 0.0000 1.4471
Pm 11.3687 0.0000 7.3504
Er -1.0379 0.0000 4.3988
Te 1.9255 0.0000 5.1453
Te 3.1167 0.0000 0.6946
Te 9.2420 0.0000 2.3180
Te 8.2846 0.0000 6.4795
Te 14.4099 0.0000 8.1029
Te 15.6011 0.0000 3.6522
```

***

No. 12
The following is a theoretical XRD peak list of LaPm2ErTm. It was derived from a cell relaxed with PBE, using CuKα.

Most intense lines, 5 to 70 degrees two-theta, sorted by position:
- d 4.297, 2θ 20.7, I = 15
- d 3.413, 2θ 26.1, I = 23
- d 2.896, 2θ 30.9, I = 100
- d 2.810, 2θ 31.9, I = 38
- d 2.793, 2θ 32.0, I = 18
- d 2.552, 2θ 35.2, I = 23
- d 2.501, 2θ 35.9, I = 19
- d 2.260, 2θ 39.9, I = 13
- d 1.981, 2θ 45.8, I = 14
- d 1.761, 2θ 51.9, I = 14
- d 1.638, 2θ 56.1, I = 19
- d 1.501, 2θ 61.8, I = 19

```
5
Lattice="3.6762 0.0000 0.0000 0.0000 5.6190 0.0000 -0.0116 0.0000 8.5944" Properties=species:S:1:pos:R:3 pbc="T T T"
La 0.0000 0.0000 0.0000
Pm -0.0011 2.8095 2.7617
Pm 3.6657 2.8095 5.8327
Er 1.8381 2.8095 0.0000
Tm 1.8323 0.0000 4.2972
```

***

No. 13
The following is a theoretical XRD peak list of LaPm4Er2Tm. It was derived from a cell relaxed with PBE, using CuKα.

Most intense lines, 5 to 70 degrees two-theta, sorted by position:
- d 11.747, 2θ 7.5, I = 1
- d 2.949, 2θ 30.3, I = 100
- d 2.937, 2θ 30.4, I = 99
- d 2.553, 2θ 35.2, I = 67
- d 2.540, 2θ 35.3, I = 33
- d 1.811, 2θ 50.4, I = 12
- d 1.800, 2θ 50.7, I = 60
- d 1.542, 2θ 60.0, I = 29
- d 1.535, 2θ 60.3, I = 42
- d 1.532, 2θ 60.4, I = 14
- d 1.475, 2θ 63.0, I = 12
- d 1.468, 2θ 63.3, I = 12

```
8
Lattice="6.2249 0.0000 0.0000 0.0000 3.6222 0.0000 -2.0966 0.0000 11.7467" Properties=species:S:1:pos:R:3 pbc="T T T"
La 0.0000 0.0000 0.0000
Pm -0.0137 0.0000 8.7876
Pm 1.0345 1.8111 2.9954
Pm 3.0938 1.8111 8.7512
Pm 4.1420 0.0000 2.9591
Er -1.0483 1.8111 5.8733
Er 2.0641 0.0000 5.8733
Tm 3.1124 1.8111 0.0000
```